Calculated powder X-ray diffraction pattern
Compound: Ho5ErN6
Radiation: Cu Kα, 1.54184 Å
Structure: the PBE geometry in Alexandria
No peak broadening, texture or thermal motion is included.

Atomic structure:
```
12
Lattice="2.9845 -5.1700 0.0000 2.9845 5.1700 0.0000 -1.9886 0.0000 5.6282" Properties=species:S:1:pos:R:3 pbc="T T T"
Ho 0.0000 0.0000 0.0000
Ho 1.9902 3.4467 2.8141
Ho 2.9845 1.7223 0.0000
Ho 2.9845 -1.7223 0.0000
Ho 1.9902 -3.4467 2.8141
Er 1.9902 0.0000 2.8141
N 0.9975 1.7195 1.4093
N 0.0056 0.0000 4.2183
N 0.9975 -1.7195 1.4093
N 2.9828 1.7195 4.2189
N 3.9747 0.0000 1.4099
N 2.9828 -1.7195 4.2189
```

Top 5 peaks for 5 to 70 degrees two-theta, by intensity:
31.8 deg, d 2.814, intensity 100
36.9 deg, d 2.437, intensity 71
53.1 deg, d 1.723, intensity 49
63.3 deg, d 1.470, intensity 44
66.4 deg, d 1.407, intensity 16


Calculated powder X-ray diffraction pattern
Compound: HoEr4N5
Radiation: Cu Kα, 1.54184 Å
Structure: the PBE geometry in Alexandria
No peak broadening, texture or thermal motion is included.

Atomic structure:
```
10
Lattice="-3.8376 3.8376 2.4267 3.8376 -3.8376 2.4267 3.8376 3.8376 -2.4267" Properties=species:S:1:pos:R:3 pbc="T T T"
Ho 0.0000 0.0000 0.0000
Er 4.6047 1.5338 0.0000
Er 1.5338 3.0706 0.0000
Er 2.3038 0.7670 2.4267
Er -0.7670 2.3038 2.4267
N 2.3088 0.7699 0.0000
N 3.0677 -1.5288 2.4267
N 0.0000 0.0000 2.4267
N 0.7699 5.3664 0.0000
N 1.5288 3.0677 2.4267
```

Top 5 peaks for 5 to 70 degrees two-theta, by intensity:
31.9 deg, d 2.802, intensity 100
37.0 deg, d 2.427, intensity 70
53.4 deg, d 1.716, intensity 48
63.6 deg, d 1.464, intensity 44
66.8 deg, d 1.401, intensity 16


Calculated powder X-ray diffraction pattern
Compound: Ho3ErN4
Radiation: Cu Kα, 1.54184 Å
Structure: the PBE geometry in Alexandria
No peak broadening, texture or thermal motion is included.

Atomic structure:
```
8
Lattice="4.8716 0.0000 0.0000 0.0000 4.8716 0.0000 0.0000 0.0000 4.8716" Properties=species:S:1:pos:R:3 pbc="T T T"
Ho 0.0000 0.0000 2.4358
Ho 0.0000 2.4358 0.0000
Ho 2.4358 0.0000 0.0000
Er 2.4358 2.4358 2.4358
N 0.0000 0.0000 0.0000
N 0.0000 2.4358 2.4358
N 2.4358 0.0000 2.4358
N 2.4358 2.4358 0.0000
```

Top 5 peaks for 5 to 70 degrees two-theta, by intensity:
31.8 deg, d 2.813, intensity 100
36.9 deg, d 2.436, intensity 71
53.2 deg, d 1.722, intensity 49
63.3 deg, d 1.469, intensity 44
66.5 deg, d 1.406, intensity 16


Calculated powder X-ray diffraction pattern
Compound: Ho3ErN
Radiation: Cu Kα, 1.54184 Å
Structure: the PBE geometry in Alexandria
No peak broadening, texture or thermal motion is included.

Atomic structure:
```
5
Lattice="4.9267 0.0000 0.0000 0.0000 4.9267 0.0000 0.0000 0.0000 4.9267" Properties=species:S:1:pos:R:3 pbc="T T T"
Ho 0.0000 0.0000 2.4634
Ho 0.0000 2.4634 0.0000
Ho 2.4634 0.0000 0.0000
Er 2.4634 2.4634 2.4634
N 0.0000 0.0000 0.0000
```

Top 5 peaks for 5 to 70 degrees two-theta, by intensity:
31.5 deg, d 2.844, intensity 100
36.5 deg, d 2.463, intensity 55
62.5 deg, d 1.485, intensity 43
52.5 deg, d 1.742, intensity 39
65.6 deg, d 1.422, intensity 13


Q: What is the formula in the third record?
A: Ho3ErN4